Diffraction record for Te3Pd13. The powder XRD pattern is computed, not measured: it uses a crystal structure in Alexandria, relaxed with GGA-PBE and copper Kα.
Lines closer than 0.1° are merged.

Atomic structure:
Cell: 12.891 12.891 12.891 Å, 90.00 90.00 90.00°
Space group Fd-3m (No. 227, origin choice 2)
Inequivalent atoms, fractional coordinates:
Te 0.000 0.000 0.000 x16
Te 0.125 0.125 0.625 x8
Pd 0.000 0.000 0.500 x16
Pd 0.010 0.010 0.740 x32
Pd 0.113 0.375 0.375 x48
Pd 0.125 0.125 0.125 x8

Peak list (6 most intense, 5 to 70 degrees two-theta, low angle first)
h k l, d (Å), intensity
3 1 1, 3.887, 0.7
3 3 3, 2.481, 3.7
4 4 0, 2.279, 100.0
7 3 1, 1.678, 3.6
8 0 0, 1.611, 15.8
5 5 5, 1.488, 0.7